Starting from the PBE geometry in the Materials Project, the PXRD pattern of Eu2O3 was computed for λ = 1.5418 Å (Cu Kα).

Peak list (8 most intense, 2θ from 15° to 90°, in order of rising 2θ)
- 27.60 deg, d = 3.232 Å, rel. 798, hkl 1 1 1
- 28.74 deg, d = 3.106 Å, rel. 838, hkl 4 0 1
- 29.37 deg, d = 3.041 Å, rel. 926, hkl 4 0 -2
- 30.46 deg, d = 2.935 Å, rel. 572, hkl 0 0 3
- 30.94 deg, d = 2.891 Å, rel. 982, hkl 3 1 0
- 31.75 deg, d = 2.818 Å, rel. 1000, hkl 1 1 -2
- 41.39 deg, d = 2.182 Å, rel. 502, hkl 3 1 -3
- 46.43 deg, d = 1.956 Å, rel. 615, hkl 3 1 3

Crystal structure
```
data_Eu2O3
_chemical_formula_sum 'Eu12 O18'
_cell_length_a 14.4308
_cell_length_b 3.6505
_cell_length_c 8.9483
_cell_angle_alpha 90.00
_cell_angle_beta 100.27
_cell_angle_gamma 90.00
_space_group_name_H-M_alt 'C 1 2/m 1'
_space_group_IT_number 12
loop_
_space_group_symop_operation_xyz
'x,y,z'
'-x,-y,-z'
'-x,y,-z'
'x,-y,z'
'x+1/2,y+1/2,z'
'-x+1/2,-y+1/2,-z'
'-x+1/2,y+1/2,-z'
'x+1/2,-y+1/2,z'
loop_
_atom_site_label
_atom_site_fract_x
_atom_site_fract_y
_atom_site_fract_z
Eu1 0.0297 0.0000 0.3129
Eu2 0.1371 0.5000 0.9902
Eu3 0.1894 0.5000 0.6337
O1 0.0000 0.5000 0.5000
O2 0.0302 0.5000 0.1587
O3 0.1255 0.0000 0.7895
O4 0.1736 0.0000 0.4695
O5 0.2084 0.0000 0.1201
```